(1)
For B8O, the GGA-PBE geometry in Alexandria gives the simulated X-ray powder pattern in this record (CuKα).

Structure:
Unit cell a=14.7785 b=10.6134 c=5.1408 alpha=90.00 beta=92.64 gamma=90.00
Space group C2/m (No. 12)
Asymmetric unit:
B1 0.9997 0.0000 0.1645 x4
B2 0.0006 0.5000 0.8352 x4
B3 0.0307 0.1316 0.3595 x8
B4 0.0310 0.3695 0.3578 x8
B5 0.0837 0.0832 0.6688 x8
B6 0.0857 0.4169 0.6616 x8
B7 0.1009 0.0000 0.3775 x4
B8 0.1060 0.5000 0.3584 x4
B9 0.1492 0.2513 0.1215 x8
B10 0.1662 0.3325 0.8300 x8
B11 0.1678 0.1632 0.8301 x8
B12 0.2146 0.3916 0.1410 x8
B13 0.2203 0.1182 0.1399 x8
B14 0.2494 0.2538 0.3354 x8
O1 0.0599 0.2501 0.2395 x8
O2 0.1908 0.0000 0.2631 x4

Most intense lines, 10 to 90 degrees two-theta, low angle first:
(2 2 0), 2θ = 20.6°, d = 4.309 Å, I 153; (2 0 1), 2θ = 21.5°, d = 4.127 Å, I 570; (4 0 0), 2θ = 24.1°, d = 3.690 Å, I 123; (4 2 1), 2θ = 34.9°, d = 2.568 Å, I 1000; (6 0 -1), 2θ = 39.9°, d = 2.260 Å, I 713; (8 0 2), 2θ = 63.4°, d = 1.467 Å, I 151; (6 6 0), 2θ = 64.9°, d = 1.436 Å, I 131; (10 2 0), 2θ = 65.6°, d = 1.422 Å, I 250; (0 8 0), 2θ = 71.0°, d = 1.327 Å, I 120; (6 4 -3), 2θ = 75.2°, d = 1.263 Å, I 125


(2)
For AcDySi2Au2, the GGA-PBE geometry in Alexandria gives the simulated X-ray powder pattern in this record (CuKα).

Structure:
Unit cell a=4.3814 b=4.3814 c=8.2630 alpha=90.00 beta=90.00 gamma=120.00
Space group P-3m1 (No. 164)
Asymmetric unit:
Ac1 0.0000 0.0000 0.0000 x1
Dy1 0.0000 0.0000 0.5000 x1
Si1 0.3333 0.6667 0.7331 x2
Au1 0.3333 0.6667 0.2818 x2

Most intense lines, 10 to 90 degrees two-theta, low angle first:
(0 1 1), 2θ = 25.8°, d = 3.448 Å, I 428; (1 0 2), 2θ = 32.0°, d = 2.795 Å, I 1000; (0 1 3), 2θ = 40.5°, d = 2.229 Å, I 88; (1 1 0), 2θ = 41.2°, d = 2.191 Å, I 484; (0 0 4), 2θ = 43.8°, d = 2.066 Å, I 98; (0 2 2), 2θ = 53.1°, d = 1.724 Å, I 244; (1 1 4), 2θ = 61.7°, d = 1.503 Å, I 215; (2 1 2), 2θ = 69.4°, d = 1.355 Å, I 222; (1 0 6), 2θ = 73.1°, d = 1.295 Å, I 82; (3 0 0), 2θ = 75.1°, d = 1.265 Å, I 85


(3)
For AcMgPb3, the GGA-PBE geometry in Alexandria gives the simulated X-ray powder pattern in this record (CuKα).

Structure:
Unit cell a=5.4443 b=7.4951 c=7.7928 alpha=90.00 beta=90.00 gamma=90.00
Space group Pmmn (No. 59, origin choice 2)
Asymmetric unit:
Ac1 0.2500 0.2500 0.2141 x2
Mg1 0.2500 0.7500 0.4392 x2
Pb1 0.2500 0.0436 0.7055 x4
Pb2 0.2500 0.7500 0.0705 x2

Most intense lines, 10 to 90 degrees two-theta, low angle first:
(0 0 2), 2θ = 22.8°, d = 3.896 Å, I 201; (0 2 1), 2θ = 26.4°, d = 3.377 Å, I 169; (1 0 2), 2θ = 28.2°, d = 3.169 Å, I 316; (1 1 2), 2θ = 30.6°, d = 2.918 Å, I 482; (1 2 1), 2θ = 31.2°, d = 2.870 Å, I 1000; (2 0 0), 2θ = 32.9°, d = 2.722 Å, I 383; (0 3 1), 2θ = 37.8°, d = 2.379 Å, I 118; (3 2 1), 2θ = 57.7°, d = 1.599 Å, I 181; (2 3 3), 2θ = 61.8°, d = 1.502 Å, I 124; (1 5 2), 2θ = 69.4°, d = 1.355 Å, I 119


(4)
For Pm4DyHoEr2, the GGA-PBE geometry in Alexandria gives the simulated X-ray powder pattern in this record (CuKα).

Structure:
Unit cell a=5.0800 b=5.1001 c=10.0389 alpha=90.00 beta=90.00 gamma=90.00
Space group Pmmm (No. 47)
Asymmetric unit:
Pm1 0.0000 0.0000 0.2501 x2
Pm2 0.5000 0.5000 0.2505 x2
Dy1 0.0000 0.5000 0.0000 x1
Ho1 0.5000 0.0000 0.5000 x1
Er1 0.0000 0.5000 0.5000 x1
Er2 0.5000 0.0000 0.0000 x1

Most intense lines, 10 to 90 degrees two-theta, low angle first:
(1 1 2), 2θ = 30.6°, d = 2.925 Å, I 1000; (0 2 0), 2θ = 35.2°, d = 2.550 Å, I 172; (2 0 0), 2θ = 35.3°, d = 2.540 Å, I 170; (0 0 4), 2θ = 35.8°, d = 2.510 Å, I 164; (2 2 0), 2θ = 50.7°, d = 1.800 Å, I 122; (0 2 4), 2θ = 51.1°, d = 1.789 Å, I 120; (1 3 2), 2θ = 60.3°, d = 1.535 Å, I 146; (3 1 2), 2θ = 60.5°, d = 1.531 Å, I 144; (1 1 6), 2θ = 61.1°, d = 1.517 Å, I 140; (2 2 4), 2θ = 63.6°, d = 1.462 Å, I 124


(5)
For Ta4Mn3Fe, the GGA-PBE geometry in Alexandria gives the simulated X-ray powder pattern in this record (CuKα).

Structure:
Unit cell a=3.0695 b=4.3220 c=8.6347 alpha=90.00 beta=90.00 gamma=90.00
Space group Pmmm (No. 47)
Asymmetric unit:
Ta1 0.0000 0.0000 0.0000 x1
Ta2 0.0000 0.0000 0.5000 x1
Ta3 0.0000 0.5000 0.2488 x2
Mn1 0.5000 0.0000 0.2516 x2
Mn2 0.5000 0.5000 0.0000 x1
Fe1 0.5000 0.5000 0.5000 x1

Most intense lines, 10 to 90 degrees two-theta, low angle first:
(1 0 0), 2θ = 29.1°, d = 3.070 Å, I 139; (0 1 2), 2θ = 29.2°, d = 3.054 Å, I 274; (1 1 2), 2θ = 41.7°, d = 2.164 Å, I 1000; (0 0 4), 2θ = 41.8°, d = 2.159 Å, I 198; (1 2 0), 2θ = 51.8°, d = 1.766 Å, I 121; (2 0 0), 2θ = 60.3°, d = 1.535 Å, I 67; (0 2 4), 2θ = 60.6°, d = 1.527 Å, I 131; (1 2 4), 2θ = 68.7°, d = 1.367 Å, I 81; (2 2 0), 2θ = 76.1°, d = 1.251 Å, I 133; (1 3 2), 2θ = 76.3°, d = 1.248 Å, I 265


(6)
For Ta3Mo5, the GGA-PBE geometry in Alexandria gives the simulated X-ray powder pattern in this record (CuKα).

Structure:
Unit cell a=2.8242 b=9.0271 c=5.3029 alpha=90.00 beta=99.92 gamma=90.00
Space group P2 (No. 3)
Asymmetric unit:
Ta1 0.0000 0.0000 0.0000 x1
Ta2 0.2541 0.7389 0.7487 x2
Mo1 0.0000 0.4871 0.0000 x1
Mo2 0.2522 0.2462 0.7487 x2
Mo3 0.5000 0.4868 0.5000 x1
Mo4 0.5000 0.9983 0.5000 x1

Most intense lines, 10 to 90 degrees two-theta, low angle first:
(1 0 1), 2θ = 39.2°, d = 2.297 Å, I 353; (1 2 -1), 2θ = 39.4°, d = 2.287 Å, I 693; (0 2 2), 2θ = 39.9°, d = 2.259 Å, I 1000; (1 4 1), 2θ = 57.2°, d = 1.610 Å, I 227; (1 0 -3), 2θ = 57.4°, d = 1.606 Å, I 114; (2 2 0), 2θ = 70.9°, d = 1.329 Å, I 121; (1 2 3), 2θ = 71.8°, d = 1.314 Å, I 117; (1 4 -3), 2θ = 72.2°, d = 1.308 Å, I 226; (0 6 2), 2θ = 72.5°, d = 1.304 Å, I 110; (2 4 -2), 2θ = 84.8°, d = 1.143 Å, I 77


(7)
For AlCd5, the GGA-PBE geometry in Alexandria gives the simulated X-ray powder pattern in this record (CuKα).

Structure:
Unit cell a=3.1376 b=3.1376 c=13.2665 alpha=90.00 beta=90.00 gamma=90.00
Space group P4/mmm (No. 123)
Asymmetric unit:
Al1 0.0000 0.0000 0.0000 x1
Cd1 0.0000 0.0000 0.3290 x2
Cd2 0.5000 0.5000 0.1579 x2
Cd3 0.5000 0.5000 0.5000 x1

Most intense lines, 10 to 90 degrees two-theta, low angle first:
(1 0 1), 2θ = 29.2°, d = 3.053 Å, I 39; (1 0 2), 2θ = 31.5°, d = 2.836 Å, I 55; (1 0 3), 2θ = 35.1°, d = 2.559 Å, I 1000; (1 1 0), 2θ = 40.7°, d = 2.219 Å, I 333; (0 0 6), 2θ = 40.8°, d = 2.211 Å, I 156; (2 0 0), 2θ = 58.9°, d = 1.569 Å, I 107; (1 1 6), 2θ = 59.0°, d = 1.566 Å, I 201; (2 1 3), 2θ = 70.4°, d = 1.337 Å, I 242; (1 0 9), 2θ = 70.6°, d = 1.334 Å, I 108; (2 0 6), 2θ = 74.1°, d = 1.279 Å, I 100


(8)
For Ba4C5, the GGA-PBE geometry in Alexandria gives the simulated X-ray powder pattern in this record (CuKα).

Structure:
Unit cell a=11.3026 b=11.3026 c=2.9610 alpha=90.00 beta=90.00 gamma=90.00
Space group I4/mmm (No. 139)
Asymmetric unit:
Ba1 0.0000 0.2373 0.0000 x8
C1 0.0000 0.0000 0.0000 x2
C2 0.2342 0.2342 0.5000 x8

Most intense lines, 10 to 90 degrees two-theta, low angle first:
(2 2 0), 2θ = 22.2°, d = 3.996 Å, I 1000; (1 0 1), 2θ = 31.2°, d = 2.864 Å, I 342; (4 0 0), 2θ = 31.7°, d = 2.826 Å, I 622; (2 1 1), 2θ = 35.1°, d = 2.555 Å, I 295; (3 2 1), 2θ = 42.0°, d = 2.153 Å, I 373; (4 1 1), 2θ = 45.1°, d = 2.012 Å, I 221; (4 4 0), 2θ = 45.4°, d = 1.998 Å, I 207; (5 0 1), 2θ = 50.8°, d = 1.797 Å, I 215; (6 2 0), 2θ = 51.1°, d = 1.787 Å, I 207; (7 2 1), 2θ = 68.2°, d = 1.375 Å, I 143